Record 1
Starting from a GGA-PBE-relaxed structure, the X-ray diffraction stick pattern of ErMg9Zn2 was simulated for copper Kα.
Lines closer than 0.1° are merged.

Main lines, low angle first (2θ from 15° to 90°):
d/Å  intensity  hkl
4.334  69  2 1 1
3.425  22  1 1 2
3.015  53  3 2 1
2.968  21  4 0 0
2.654  100  4 2 0
2.447  24  1 0 3
2.115  21  5 2 1
1.888  24  6 1 1
1.532  25  5 5 2
1.327  23  8 4 0

Structural model:
```
data_ErMg9Zn2
_cell_length_a 11.871
_cell_length_b 11.871
_cell_length_c 7.502
_cell_angle_alpha 90.00
_cell_angle_beta 90.00
_cell_angle_gamma 90.00
_space_group_name_H-M_alt 'I 41/a m d'
_space_group_IT_number 141
loop_
_space_group_symop_operation_xyz
'x,y,z'
'-x,-y,-z'
'-y+1/4,x+3/4,z+1/4'
'y+1/4,-x+3/4,-z+1/4'
'-x+1/2,-y,z+1/2'
'x+1/2,y,-z+1/2'
'y+1/4,-x+1/4,z+3/4'
'-y+1/4,x+1/4,-z+3/4'
'x,-y,-z'
'-x,y,z'
'-y+1/4,-x+1/4,-z+3/4'
'y+1/4,x+1/4,z+3/4'
'-x+1/2,y,-z+1/2'
'x+1/2,-y,z+1/2'
'y+1/4,x+3/4,-z+1/4'
'-y+1/4,-x+3/4,z+1/4'
'x+1/2,y+1/2,z+1/2'
'-x+1/2,-y+1/2,-z+1/2'
'-y+3/4,x+1/4,z+3/4'
'y+3/4,-x+1/4,-z+3/4'
'-x,-y+1/2,z'
'x,y+1/2,-z'
'y+3/4,-x+3/4,z+1/4'
'-y+3/4,x+3/4,-z+1/4'
'x+1/2,-y+1/2,-z+1/2'
'-x+1/2,y+1/2,z+1/2'
'-y+3/4,-x+3/4,-z+1/4'
'y+3/4,x+3/4,z+1/4'
'-x,y+1/2,-z'
'x,-y+1/2,z'
'y+3/4,x+1/4,-z+3/4'
'-y+3/4,-x+1/4,z+3/4'
loop_
_atom_site_label
_atom_site_fract_x
_atom_site_fract_y
_atom_site_fract_z
_atom_site_occupancy
Er1 0.000 0.250 0.375 1
Mg1 0.000 0.250 0.875 1
Mg2 0.122 0.054 0.680 1
Zn1 0.000 0.000 0.000 1
```



Record 2
Starting from a GGA-PBE-relaxed structure, the X-ray diffraction stick pattern of Er3Mg2Zr2 was simulated for copper Kα.
Lines closer than 0.1° are merged.

Main lines, low angle first (2θ from 15° to 90°):
d/Å  intensity  hkl
4.917  70  1 1 0
3.732  22  0 6 0
2.753  82  1 1 1
2.701  100  1 7 0
2.520  46  2 0 0
2.481  57  0 6 1
2.358  25  1 5 1
1.768  41  2 6 1
1.463  30  1 13 1
1.415  27  1 7 2

Structural model:
```
data_Er3Mg2Zr2
_cell_length_a 5.040
_cell_length_b 22.394
_cell_length_c 3.322
_cell_angle_alpha 90.00
_cell_angle_beta 90.00
_cell_angle_gamma 90.00
_space_group_name_H-M_alt 'C m m m'
_space_group_IT_number 65
_space_group_name_Hall '-C 2 2'
loop_
_atom_site_label
_atom_site_fract_x
_atom_site_fract_y
_atom_site_fract_z
_atom_site_occupancy
Er1 0.000 0.000 0.000 1
Er2 0.000 0.152 0.000 1
Mg1 0.000 0.426 0.500 1
Zr1 0.000 0.278 0.500 1
```



Record 3
Starting from a GGA-PBE-relaxed structure, the X-ray diffraction stick pattern of Er2Mg6Zr was simulated for copper Kα.
Lines closer than 0.1° are merged.

Main lines, low angle first (2θ from 15° to 90°):
d/Å  intensity  hkl
4.446  93  1 1 0
2.602  100  1 1 1
2.567  64  3 0 0
2.223  15  2 2 0
2.004  14  3 0 1
1.827  35  2 2 1
1.680  13  4 1 0
1.488  35  4 1 1
1.360  17  3 0 2
1.151  15  5 2 1

Structural model:
```
data_Er2Mg6Zr
_cell_length_a 8.8911
_cell_length_b 8.8911
_cell_length_c 3.2083
_cell_angle_alpha 90.00
_cell_angle_beta 90.00
_cell_angle_gamma 120.00
_space_group_name_H-M_alt 'P 6/m m m'
_space_group_IT_number 191
_space_group_name_Hall '-P 6 2'
loop_
_atom_site_label
_atom_site_fract_x
_atom_site_fract_y
_atom_site_fract_z
_atom_site_occupancy
Er1 0.3333 0.6667 0.0000 1
Mg1 0.0000 0.3267 0.5000 1
Zr1 0.0000 0.0000 0.0000 1
```